[1]
Diffraction record for EuDyCr4O12. The powder diffractogram is theoretical, not measured: it uses a crystal structure in Alexandria, relaxed with PBE+U and CuKα.
Peak positions follow from Bragg's law for the DFT cell and can differ from measured ones.

Structural model:
```
EuDyCr4O12
1.0
7.613 0.000 0.000
0.000 3.730 3.700
0.000 -3.730 3.700
Eu Dy Cr O
1 1 4 12
Cartesian
0.000 0.000 0.000
3.807 0.000 4.171
1.907 -1.805 2.048
1.907 1.805 2.048
5.706 -1.805 2.048
5.706 1.805 2.048
0.000 -1.566 2.075
0.000 1.566 2.075
1.687 0.000 5.396
1.876 -2.240 3.905
1.876 2.240 3.905
2.260 0.000 2.486
3.807 -1.620 5.667
3.807 1.620 5.667
5.354 0.000 2.486
5.737 -2.240 3.905
5.737 2.240 3.905
5.927 0.000 5.396
```

Largest 8 diffraction maxima, by intensity, 2θ from 10° to 90°:
- 20.54°, I 100.0
- 33.64°, I 32.8
- 34.13°, I 30.6
- 33.78°, I 26.3
- 39.43°, I 18.8
- 40.05°, I 18.2
- 47.79°, I 12.9
- 60.03°, I 12.6

[2]
Diffraction record for DyCrO4F. The powder diffractogram is theoretical, not measured: it uses a crystal structure in Alexandria, relaxed with PBE+U and CuKα.
Peak positions follow from Bragg's law for the DFT cell and can differ from measured ones.

Structural model:
```
DyCrO4F
1.0
4.652 -3.613 0.000
4.652 3.613 0.000
-1.922 0.000 6.418
Dy Cr O F
2 2 8 2
Cartesian
1.701 0.000 0.671
5.681 0.000 5.748
1.860 0.000 4.636
5.522 0.000 1.783
1.160 1.317 5.435
1.507 0.000 3.040
3.897 0.000 1.563
1.160 -1.317 5.435
6.221 1.317 0.984
3.484 0.000 4.855
5.874 0.000 3.378
6.221 -1.317 0.984
-1.453 0.000 5.267
8.835 0.000 1.151
```

Largest 8 diffraction maxima, by intensity, 2θ from 10° to 90°:
- 13.80°, I 100.0
- 24.64°, I 96.1
- 29.46°, I 71.7
- 19.92°, I 68.4
- 31.86°, I 64.8
- 27.45°, I 49.5
- 48.16°, I 47.0
- 19.03°, I 46.6